Record 1
Calculated PXRD pattern of Li5Ti2V3O10 for Cu Kα, 1.54184 Å, from DFT lattice parameters and positions (GGA+U).

Largest 10 diffraction maxima, sorted by position, 2θ = 15–90°:
2theta, I (rel.)
18.14, 100
22.56, 19
26.40, 27
42.13, 63
42.96, 59
43.14, 59
61.46, 18
61.71, 16
62.04, 31
62.59, 16

Crystal structure
abc: 5.165 5.184 14.432
angles: 85.34 85.71 80.09
Sites, in units of the cell vectors:
Li 0.087 0.008 0.389
Li 0.196 0.478 0.298
Li 0.252 0.749 0.748
Li 0.302 0.018 0.203
Li 0.409 0.496 0.111
Li 0.591 0.504 0.889
Li 0.698 0.982 0.797
Li 0.748 0.251 0.252
Li 0.804 0.522 0.702
Li 0.913 0.992 0.611
Ti 0.130 0.257 0.847
Ti 0.367 0.252 0.656
Ti 0.633 0.748 0.344
Ti 0.870 0.743 0.153
V 0.000 0.500 0.500
V 0.058 0.744 0.948
V 0.450 0.765 0.550
V 0.500 0.000 0.000
V 0.550 0.235 0.450
V 0.942 0.256 0.052
O 0.052 0.137 0.731
O 0.062 0.401 0.173
O 0.146 0.610 0.624
O 0.167 0.874 0.077
O 0.228 0.131 0.534
O 0.280 0.357 0.967
O 0.342 0.619 0.423
O 0.379 0.895 0.880
O 0.432 0.097 0.329
O 0.451 0.363 0.771
O 0.549 0.637 0.229
O 0.568 0.903 0.671
O 0.621 0.105 0.120
O 0.658 0.381 0.577
O 0.720 0.643 0.033
O 0.772 0.869 0.466
O 0.833 0.126 0.923
O 0.854 0.390 0.376
O 0.938 0.599 0.827
O 0.948 0.863 0.269

***

Record 2
Calculated PXRD pattern of LiMn3B3O9 for Cu Kα, 1.54184 Å, from DFT lattice parameters and positions (GGA+U).

Largest 10 diffraction maxima, sorted by position, 2θ = 15–90°:
2theta, I (rel.)
19.73, 100
20.24, 34
20.68, 31
22.05, 74
22.69, 89
33.67, 48
35.29, 76
37.05, 32
41.15, 30
53.37, 34

Crystal structure
abc: 5.322 5.948 12.006
angles: 83.94 79.77 86.83
Sites, in units of the cell vectors:
Li 0.000 0.000 0.000
Li 0.337 0.322 0.333
Mn 0.011 0.009 0.588
Mn 0.248 0.507 0.568
Mn 0.366 0.331 0.910
Mn 0.580 0.815 0.890
Mn 0.693 0.670 0.247
Mn 0.914 0.157 0.228
B 0.113 0.738 0.796
B 0.142 0.768 0.356
B 0.451 0.051 0.124
B 0.485 0.100 0.682
B 0.774 0.371 0.460
B 0.816 0.433 0.019
O 0.023 0.295 0.482
O 0.058 0.729 0.687
O 0.177 0.782 0.469
O 0.251 0.199 0.657
O 0.294 0.153 0.210
O 0.303 0.642 0.286
O 0.349 0.652 0.817
O 0.375 0.018 0.022
O 0.526 0.096 0.793
O 0.588 0.539 0.991
O 0.616 0.485 0.539
O 0.652 0.008 0.598
O 0.704 0.984 0.138
O 0.713 0.344 0.355
O 0.852 0.437 0.132
O 0.918 0.873 0.326
O 0.947 0.836 0.880
O 0.976 0.318 0.944

***

Record 3
Calculated PXRD pattern of Ca4Mn3CrO11 for Cu Kα, 1.54184 Å, from DFT lattice parameters and positions (GGA+U).

Largest 10 diffraction maxima, sorted by position, 2θ = 15–90°:
2theta, I (rel.)
23.22, 16
33.07, 100
40.80, 5
47.44, 32
47.53, 15
59.07, 35
69.39, 24
78.95, 5
79.10, 9
88.40, 7

Crystal structure
abc: 7.660 7.671 7.653
angles: 90.00 90.00 90.00
Sites, in units of the cell vectors:
Ca 0.249 0.250 0.000
Ca 0.249 0.750 0.000
Ca 0.250 0.248 0.493
Ca 0.250 0.752 0.493
Ca 0.750 0.248 0.493
Ca 0.750 0.752 0.493
Ca 0.751 0.250 0.000
Ca 0.751 0.750 0.000
Mn 0.000 0.000 0.254
Mn 0.000 0.500 0.244
Mn 0.500 0.000 0.239
Mn 0.500 0.000 0.751
Mn 0.500 0.500 0.253
Mn 0.500 0.500 0.738
Cr 0.000 0.000 0.740
Cr 0.000 0.500 0.751
O 0.000 0.000 0.001
O 0.000 0.000 0.489
O 0.000 0.253 0.265
O 0.000 0.260 0.719
O 0.000 0.500 0.989
O 0.000 0.740 0.719
O 0.000 0.747 0.265
O 0.244 0.500 0.718
O 0.247 0.500 0.265
O 0.255 0.000 0.266
O 0.259 0.000 0.716
O 0.500 0.000 0.994
O 0.500 0.246 0.267
O 0.500 0.246 0.723
O 0.500 0.500 0.495
O 0.500 0.500 0.995
O 0.500 0.754 0.267
O 0.500 0.754 0.723
O 0.741 0.000 0.716
O 0.745 0.000 0.266
O 0.753 0.500 0.265
O 0.756 0.500 0.718

***

Record 4
Calculated PXRD pattern of CoAgO2 for Cu Kα, 1.54184 Å, from DFT lattice parameters and positions (GGA+U).

Largest 10 diffraction maxima, sorted by position, 2θ = 15–90°:
2theta, I (rel.)
15.38, 23
30.02, 15
31.03, 58
33.89, 100
43.72, 22
53.30, 28
57.07, 26
62.97, 22
64.69, 22
88.57, 24

Crystal structure
abc: 3.437 3.437 11.524
angles: 90.00 90.00 120.00
Sites, in units of the cell vectors:
Co 0.333 0.667 0.250
Co 0.667 0.333 0.750
Ag 0.000 0.000 0.000
Ag 0.000 0.000 0.500
O 0.333 0.667 0.098
O 0.333 0.667 0.402
O 0.667 0.333 0.598
O 0.667 0.333 0.902

***

Record 5
Calculated PXRD pattern of Li11Cr3Fe3O16 for Cu Kα, 1.54184 Å, from DFT lattice parameters and positions (GGA+U).

Largest 10 diffraction maxima, sorted by position, 2θ = 15–90°:
2theta, I (rel.)
17.82, 100
18.94, 11
20.01, 11
35.59, 12
36.79, 14
40.65, 11
41.37, 10
43.14, 20
46.17, 19
62.53, 12

Crystal structure
abc: 5.907 5.980 10.047
angles: 83.29 89.97 60.46
Sites, in units of the cell vectors:
Li 0.000 0.000 0.000
Li 0.003 0.498 0.980
Li 0.088 0.808 0.528
Li 0.286 0.422 0.741
Li 0.332 0.323 0.482
Li 0.418 0.169 0.981
Li 0.492 0.504 0.977
Li 0.594 0.810 0.534
Li 0.611 0.776 0.049
Li 0.841 0.320 0.467
Li 0.967 0.064 0.248
Cr 0.289 0.919 0.755
Cr 0.469 0.059 0.253
Cr 0.789 0.920 0.757
Fe 0.466 0.560 0.251
Fe 0.792 0.416 0.749
Fe 0.970 0.561 0.251
O 0.135 0.744 0.865
O 0.136 0.211 0.864
O 0.151 0.217 0.358
O 0.161 0.673 0.355
O 0.298 0.403 0.128
O 0.307 0.908 0.141
O 0.434 0.640 0.647
O 0.448 0.087 0.652
O 0.629 0.216 0.359
O 0.636 0.724 0.868
O 0.650 0.696 0.362
O 0.651 0.218 0.865
O 0.780 0.442 0.139
O 0.783 0.907 0.141
O 0.924 0.631 0.645
O 0.949 0.103 0.644

***

Record 6
Calculated PXRD pattern of Mn2BO4 for Cu Kα, 1.54184 Å, from DFT lattice parameters and positions (GGA+U).

Largest 10 diffraction maxima, sorted by position, 2θ = 15–90°:
2theta, I (rel.)
20.98, 33
29.91, 36
32.79, 100
33.78, 20
34.08, 43
48.77, 19
49.21, 17
55.41, 16
55.68, 13
66.24, 11

Crystal structure
abc: 3.317 9.632 9.957
angles: 90.00 108.76 90.00
Sites, in units of the cell vectors:
Mn 0.093 0.098 0.320
Mn 0.093 0.402 0.820
Mn 0.291 0.618 0.563
Mn 0.291 0.882 0.063
Mn 0.709 0.118 0.937
Mn 0.709 0.382 0.437
Mn 0.907 0.598 0.180
Mn 0.907 0.902 0.680
B 0.432 0.169 0.632
B 0.432 0.331 0.132
B 0.568 0.669 0.868
B 0.568 0.831 0.368
O 0.105 0.511 0.388
O 0.105 0.989 0.888
O 0.351 0.241 0.504
O 0.351 0.259 0.004
O 0.361 0.030 0.631
O 0.361 0.470 0.131
O 0.420 0.741 0.738
O 0.420 0.759 0.238
O 0.580 0.241 0.762
O 0.580 0.259 0.262
O 0.639 0.530 0.869
O 0.639 0.970 0.369
O 0.649 0.741 0.996
O 0.649 0.759 0.496
O 0.895 0.011 0.112
O 0.895 0.489 0.612

***

Record 7
Calculated PXRD pattern of Li9Mn2Co5O16 for Cu Kα, 1.54184 Å, from DFT lattice parameters and positions (GGA+U).

Largest 10 diffraction maxima, sorted by position, 2θ = 15–90°:
2theta, I (rel.)
18.35, 100
34.27, 20
36.07, 13
36.83, 11
41.19, 34
43.87, 27
44.97, 24
61.46, 9
62.02, 8
62.61, 15

Crystal structure
abc: 3.023 7.795 12.496
angles: 89.40 89.79 82.33
Sites, in units of the cell vectors:
Li 0.000 0.000 0.000
Li 0.064 0.873 0.690
Li 0.130 0.748 0.381
Li 0.247 0.499 0.751
Li 0.378 0.247 0.128
Li 0.503 0.994 0.508
Li 0.621 0.753 0.872
Li 0.754 0.498 0.255
Li 0.881 0.250 0.631
Mn 0.195 0.621 0.063
Mn 0.553 0.876 0.192
Co 0.322 0.376 0.444
Co 0.447 0.111 0.811
Co 0.679 0.634 0.571
Co 0.821 0.370 0.936
Co 0.938 0.129 0.320
O 0.049 0.950 0.843
O 0.066 0.798 0.537
O 0.186 0.687 0.216
O 0.235 0.555 0.913
O 0.296 0.448 0.588
O 0.363 0.308 0.298
O 0.400 0.187 0.957
O 0.464 0.072 0.674
O 0.516 0.946 0.341
O 0.566 0.806 0.041
O 0.662 0.676 0.707
O 0.693 0.556 0.424
O 0.818 0.303 0.791
O 0.825 0.432 0.087
O 0.927 0.062 0.167
O 0.951 0.195 0.469

***

Record 8
Calculated PXRD pattern of MnAlF5 for Cu Kα, 1.54184 Å, from DFT lattice parameters and positions (GGA+U).

Largest 10 diffraction maxima, sorted by position, 2θ = 15–90°:
2theta, I (rel.)
25.53, 100
26.07, 16
27.68, 33
32.04, 34
41.11, 14
45.76, 20
45.88, 20
50.20, 24
53.00, 27
57.15, 18

Crystal structure
abc: 5.339 5.339 9.702
angles: 90.00 90.00 140.20
Sites, in units of the cell vectors:
Mn 0.000 0.000 0.000
Mn 0.000 0.000 0.500
Al 0.293 0.707 0.750
Al 0.707 0.293 0.250
F 0.169 0.831 0.618
F 0.169 0.831 0.882
F 0.194 0.806 0.250
F 0.426 0.574 0.615
F 0.426 0.574 0.885
F 0.574 0.426 0.115
F 0.574 0.426 0.385
F 0.806 0.194 0.750
F 0.831 0.169 0.118
F 0.831 0.169 0.382